Record 1
Starting from a DFT-relaxed cell (PBE, Alexandria), the XRD peak list of KLaRe2O8 was simulated for Cu Kα X-rays.
Intensities are scaled so that the largest is 100.

Principal peaks in the range 2θ = 15–90°, low angle first:
- hkl 0 1 1, 4.389 Å, 20.23 deg, I = 100
- hkl 1 0 2, 3.138 Å, 28.44 deg, I = 35
- hkl 1 1 0, 3.071 Å, 29.08 deg, I = 43
- hkl 2 0 1, 2.516 Å, 35.69 deg, I = 12
- hkl 1 0 3, 2.329 Å, 38.66 deg, I = 12
- hkl 0 2 2, 2.195 Å, 41.13 deg, I = 19
- hkl 0 0 4, 1.946 Å, 46.68 deg, I = 25
- hkl 2 1 2, 1.785 Å, 51.16 deg, I = 13

Structure:
a = 6.1412 Å, b = 6.1412 Å, c = 7.7727 Å
α = 90.00°, β = 90.00°, γ = 120.00°
Fractional coordinates of all 12 atoms:
K1 0.0000 0.0000 0.0000
La1 0.0000 0.0000 0.5000
Re1 0.3333 0.6667 0.7786
Re2 0.6667 0.3333 0.2214
O1 0.1710 0.3470 0.6977
O2 0.1760 0.8290 0.6977
O3 0.3333 0.6667 0.0053
O4 0.3470 0.1760 0.3023
O5 0.6530 0.8240 0.6977
O6 0.6667 0.3333 0.9947
O7 0.8240 0.1710 0.3023
O8 0.8290 0.6530 0.3023

Record 2
Starting from a DFT-relaxed cell (PBE, Alexandria), the XRD peak list of K2LaScO4 was simulated for Cu Kα X-rays.
Intensities are scaled so that the largest is 100.

Principal peaks in the range 2θ = 15–90°, low angle first:
- hkl 1 0 0, 5.765 Å, 15.37 deg, I = 15
- hkl 1 0 -1, 5.083 Å, 17.45 deg, I = 14
- hkl 0 0 2, 3.114 Å, 28.67 deg, I = 27
- hkl 2 0 0, 2.883 Å, 31.02 deg, I = 56
- hkl 1 1 1, 2.542 Å, 35.30 deg, I = 100
- hkl 2 0 2, 1.850 Å, 49.26 deg, I = 30
- hkl 0 2 0, 1.750 Å, 52.28 deg, I = 30
- hkl 3 1 -3, 1.525 Å, 60.72 deg, I = 20

Structure:
a = 6.0601 Å, b = 3.5000 Å, c = 6.5462 Å
α = 90.00°, β = 107.96°, γ = 90.00°
Fractional coordinates of all 8 atoms:
K1 0.0000 0.0000 0.0000
K2 0.5000 0.5000 0.0000
La1 0.0000 0.5000 0.5000
Sc1 0.5000 0.0000 0.5000
O1 0.2589 0.0000 0.6848
O2 0.2915 0.5000 0.3175
O3 0.7085 0.5000 0.6825
O4 0.7411 0.0000 0.3152

Record 3
Starting from a DFT-relaxed cell (PBE, Alexandria), the XRD peak list of KLaSe2O8 was simulated for Cu Kα X-rays.
Intensities are scaled so that the largest is 100.

Principal peaks in the range 2θ = 15–90°, low angle first:
- hkl 2 0 -2, 3.583 Å, 24.85 deg, I = 62
- hkl 1 2 -1, 3.339 Å, 26.70 deg, I = 100
- hkl 2 1 -2, 3.237 Å, 27.55 deg, I = 27
- hkl 2 1 2, 3.156 Å, 28.28 deg, I = 77
- hkl 0 0 4, 2.832 Å, 31.59 deg, I = 27
- hkl 4 1 0, 2.160 Å, 41.82 deg, I = 28
- hkl 1 3 3, 2.032 Å, 44.60 deg, I = 32
- hkl 1 2 -5, 1.910 Å, 47.61 deg, I = 28

Structure:
a = 9.0206 Å, b = 7.5480 Å, c = 11.3357 Å
α = 90.00°, β = 91.83°, γ = 90.00°
Fractional coordinates of all 48 atoms:
K1 0.0629 0.1450 0.3437
K2 0.0629 0.3550 0.8437
K3 0.9371 0.6450 0.1563
K4 0.9371 0.8550 0.6563
La1 0.4430 0.6664 0.6512
La2 0.4430 0.8336 0.1512
La3 0.5570 0.1664 0.8488
La4 0.5570 0.3336 0.3488
Se1 0.2200 0.6571 0.4089
Se2 0.2200 0.8429 0.9089
Se3 0.3105 0.1645 0.6076
Se4 0.3105 0.3355 0.1076
Se5 0.6895 0.6645 0.8924
Se6 0.6895 0.8355 0.3924
Se7 0.7800 0.1571 0.0911
Se8 0.7800 0.3429 0.5911
O1 0.0909 0.5187 0.3626
O2 0.0909 0.9813 0.8626
O3 0.1293 0.1453 0.6018
O4 0.1293 0.3547 0.1018
O5 0.1949 0.7476 0.0409
O6 0.1949 0.7524 0.5409
O7 0.2502 0.6850 0.8076
O8 0.2502 0.8150 0.3076
O9 0.3621 0.1598 0.1939
O10 0.3621 0.3402 0.6939
O11 0.3767 0.1707 0.4721
O12 0.3767 0.3293 0.9721
O13 0.3830 0.5514 0.4429
O14 0.3830 0.9486 0.9429
O15 0.3997 0.0009 0.6854
O16 0.3997 0.4991 0.1854
O17 0.6003 0.5009 0.8146
O18 0.6003 0.9991 0.3146
O19 0.6170 0.0514 0.0571
O20 0.6170 0.4486 0.5571
O21 0.6233 0.6707 0.0279
O22 0.6233 0.8293 0.5279
O23 0.6379 0.6598 0.3061
O24 0.6379 0.8402 0.8061
O25 0.7498 0.1850 0.6924
O26 0.7498 0.3150 0.1924
O27 0.8051 0.2476 0.4591
O28 0.8051 0.2524 0.9591
O29 0.8707 0.6453 0.8982
O30 0.8707 0.8547 0.3982
O31 0.9091 0.0187 0.1374
O32 0.9091 0.4813 0.6374